Starting from a crystal structure in Alexandria, relaxed with GGA-PBE, the PXRD pattern of Al2Ag5Au12 was calculated for Cu Kα (λ = 1.5418 Å).

Crystal structure
Unit cell a=4.233 b=8.409 c=19.213 alpha=90.00 beta=90.00 gamma=90.00
Space group Immm (No. 71)
Inequivalent atoms, fractional coordinates:
Al (0.000, 0.248, 0.000)
Ag (0.000, 0.000, 0.301)
Ag (0.000, 0.500, 0.304)
Ag (0.000, 0.500, 0.500)
Au (0.000, 0.000, 0.095)
Au (0.000, 0.233, 0.412)
Au (0.000, 0.255, 0.197)
Au (0.000, 0.500, 0.083)

Largest 8 diffraction maxima, low angle first, 2θ = 5–70°:
2θ (°), d_spacing, I (rel.), (hkl)
30.32, 2.948, 13, 1 2 1
33.13, 2.704, 9, 1 2 3
38.19, 2.356, 100, 1 2 5
42.72, 2.117, 20, 2 0 0
43.03, 2.102, 19, 0 4 0
47.31, 1.921, 11, 0 0 10
62.24, 1.492, 12, 2 4 0
65.62, 1.423, 9, 2 0 10